MnV2BiO8: simulated powder XRD pattern (copper Kα), based on DFT lattice parameters and positions (PBE+U).

Top 12 peaks for 15 to 90 degrees two-theta, in order of rising 2θ:
(hkl)  d/Å  I_rel
1 0 0  4.918  100
1 0 1  3.888  60
1 1 0  2.839  73
1 0 2  2.668  70
1 1 1  2.592  38
1 1 2  2.117  27
0 2 2  1.944  59
2 1 1  1.784  16
3 0 0  1.639  14
2 1 2  1.604  39
1 1 4  1.386  18
1 3 2  1.253  14

Cell and atoms:
```
data_MnV2BiO8
_cell_length_a 5.6789
_cell_length_b 5.6789
_cell_length_c 6.3510
_cell_angle_alpha 90.00
_cell_angle_beta 90.00
_cell_angle_gamma 120.00
_symmetry_space_group_name_H-M 'P -3 m 1'
_symmetry_Int_Tables_number 164
_symmetry_space_group_name_Hall '-P 3 2"'
loop_
_atom_site_label
_atom_site_type_symbol
_atom_site_fract_x
_atom_site_fract_y
_atom_site_fract_z
Mn1 Mn 0.0000 0.0000 0.0000
V1 V 0.3333 0.6667 0.2791
Bi1 Bi 0.0000 0.0000 0.5000
O1 O 0.1580 0.3160 0.2078
O2 O 0.3333 0.6667 0.5394
```